# 1
For SrTlCdRh, a structure optimized by DFT (GGA-PBE) gives the computed powder diffractogram in this record (copper Kα).

Top 10 peaks for 2θ from 10° to 90°, low angle first:
2theta	I (rel.)
15.95	55
22.36	31
30.61	62
34.70	87
38.06	100
41.51	30
49.06	18
52.45	27
66.62	26
68.78	17

```
SrTlCdRh
1.0
4.7281 0.0000 0.0000
-2.3641 4.0947 0.0000
0.0000 0.0000 16.6659
Sr Tl Cd Rh
3 3 3 3
Direct
0.0000 0.0000 0.0000 Sr
0.3333 0.6667 0.6667 Sr
0.6667 0.3333 0.3333 Sr
0.0000 0.0000 0.2080 Tl
0.3333 0.6667 0.8747 Tl
0.6667 0.3333 0.5413 Tl
0.0000 0.0000 0.4538 Cd
0.3333 0.6667 0.1205 Cd
0.6667 0.3333 0.7871 Cd
0.0000 0.0000 0.8087 Rh
0.3333 0.6667 0.4754 Rh
0.6667 0.3333 0.1421 Rh
```

# 2
For Pa6Sb3C, a structure optimized by DFT (GGA-PBE) gives the computed powder diffractogram in this record (copper Kα).

Top 10 peaks for 2θ from 10° to 90°, low angle first:
2theta	I (rel.)
25.80	19
30.49	36
32.35	28
32.49	100
33.43	26
35.97	47
37.58	36
38.86	48
43.48	20
67.56	25

```
Pa6Sb3C
1.0
5.5927 -3.2089 0.0000
5.5927 3.2089 0.0000
-4.0478 0.0000 7.2120
Pa Sb C
6 3 1
Direct
0.1564 0.6707 0.6405 Pa
0.1846 0.1846 0.8119 Pa
0.3293 0.8436 0.3595 Pa
0.6707 0.1564 0.6405 Pa
0.8154 0.8154 0.1881 Pa
0.8436 0.3293 0.3595 Pa
0.2997 0.2997 0.2563 Sb
0.5000 0.5000 0.0000 Sb
0.7003 0.7003 0.7437 Sb
0.0000 0.0000 0.5000 C
```

# 3
For Cs2VBrCl5, a structure optimized by DFT (GGA-PBE) gives the computed powder diffractogram in this record (copper Kα).

Top 10 peaks for 2θ from 10° to 90°, low angle first:
2theta	I (rel.)
14.46	28
23.57	34
23.79	31
29.15	100
33.58	49
34.20	24
48.22	15
48.68	31
57.34	23
60.44	15

```
Cs2VBrCl5
1.0
-3.7745 3.7745 5.2442
3.7745 -3.7745 5.2442
3.7745 3.7745 -5.2442
Cs V Br Cl
2 1 1 5
Direct
0.0000 0.5000 0.5000 Cs
0.5000 0.0000 0.5000 Cs
0.2482 0.2482 0.0000 V
0.4888 0.4888 0.0000 Br
0.0263 0.0263 0.0000 Cl
0.0319 0.0319 0.5635 Cl
0.0319 0.4685 0.0000 Cl
0.4685 0.0319 0.0000 Cl
0.4685 0.4685 0.4365 Cl
```

# 4
For SnICl, a structure optimized by DFT (GGA-PBE) gives the computed powder diffractogram in this record (copper Kα).

Top 10 peaks for 2θ from 10° to 90°, low angle first:
2theta	I (rel.)
16.21	18
19.02	16
19.85	25
27.97	100
29.72	25
31.08	16
34.26	15
40.19	25
41.32	19
46.35	30

```
SnICl
1.0
8.9474 0.0000 0.0000
0.0000 4.3697 0.0000
0.0000 0.0000 10.9381
Sn I Cl
4 4 4
Direct
0.1163 0.2500 0.1490 Sn
0.3837 0.7500 0.6490 Sn
0.6163 0.2500 0.3510 Sn
0.8837 0.7500 0.8510 Sn
0.0136 0.2500 0.6817 I
0.4864 0.7500 0.1817 I
0.5136 0.2500 0.8183 I
0.9864 0.7500 0.3183 I
0.1470 0.7500 0.9568 Cl
0.3530 0.2500 0.4568 Cl
0.6470 0.7500 0.5432 Cl
0.8530 0.2500 0.0432 Cl
```